# 1
Diffraction record for CdI2. The powder diffractogram is theoretical, not measured: it uses DFT lattice parameters and positions (PBE) and CuKα.

Cell lengths 4.3461, 4.3461, 66.1378 Å; angles 90.00, 90.00, 120.00 degrees
Positions (direct):
Cd 0.0000 0.0000 0.0000
Cd 0.0000 0.0000 0.1111
Cd 0.0000 0.0000 0.2223
Cd 0.0000 0.0000 0.3333
Cd 0.0000 0.0000 0.4445
Cd 0.0000 0.0000 0.6667
Cd 0.3333 0.6667 0.5556
Cd 0.3333 0.6667 0.7778
Cd 0.3333 0.6667 0.8889
I 0.0000 0.0000 0.5295
I 0.0000 0.0000 0.7517
I 0.0000 0.0000 0.8628
I 0.3333 0.6667 0.0850
I 0.3333 0.6667 0.1962
I 0.3333 0.6667 0.3072
I 0.3333 0.6667 0.4184
I 0.3333 0.6667 0.6406
I 0.3333 0.6667 0.9739
I 0.6667 0.3333 0.0261
I 0.6667 0.3333 0.1372
I 0.6667 0.3333 0.2484
I 0.6667 0.3333 0.3594
I 0.6667 0.3333 0.4706
I 0.6667 0.3333 0.5817
I 0.6667 0.3333 0.6928
I 0.6667 0.3333 0.8038
I 0.6667 0.3333 0.9150

The 10 most intense peaks (2θ from 10° to 90°), in order of falling intensity:
- 2θ = 26.61°, 3.350 Å, I 100
- 2θ = 12.04°, 7.349 Å, I 50
- 2θ = 41.56°, 2.173 Å, I 50
- 2θ = 34.10°, 2.629 Å, I 26
- 2θ = 44.11°, 2.053 Å, I 26
- 2θ = 66.67°, 1.403 Å, I 23
- 2θ = 50.03°, 1.823 Å, I 17
- 2θ = 67.00°, 1.397 Å, I 14
- 2θ = 43.42°, 2.084 Å, I 13
- 2θ = 33.12°, 2.705 Å, I 11

# 2
Diffraction record for CdI2. The powder diffractogram is theoretical, not measured: it uses DFT lattice parameters and positions (PBE) and CuKα.

Cell lengths 4.3443, 4.3443, 80.9570 Å; angles 90.00, 90.00, 120.00 degrees
Positions (direct):
Cd 0.0000 0.0000 0.0000
Cd 0.0000 0.0000 0.0909
Cd 0.0000 0.0000 0.1818
Cd 0.0000 0.0000 0.3636
Cd 0.0000 0.0000 0.5454
Cd 0.0000 0.0000 0.6364
Cd 0.0000 0.0000 0.8182
Cd 0.6667 0.3333 0.2727
Cd 0.6667 0.3333 0.4545
Cd 0.6667 0.3333 0.7273
Cd 0.6667 0.3333 0.9091
I 0.0000 0.0000 0.2514
I 0.0000 0.0000 0.4332
I 0.0000 0.0000 0.7059
I 0.0000 0.0000 0.8877
I 0.3333 0.6667 0.0214
I 0.3333 0.6667 0.1123
I 0.3333 0.6667 0.2032
I 0.3333 0.6667 0.2941
I 0.3333 0.6667 0.3850
I 0.3333 0.6667 0.4759
I 0.3333 0.6667 0.5669
I 0.3333 0.6667 0.6577
I 0.3333 0.6667 0.7487
I 0.3333 0.6667 0.8395
I 0.3333 0.6667 0.9304
I 0.6667 0.3333 0.0695
I 0.6667 0.3333 0.1604
I 0.6667 0.3333 0.3422
I 0.6667 0.3333 0.5241
I 0.6667 0.3333 0.6150
I 0.6667 0.3333 0.7968
I 0.6667 0.3333 0.9786

The 10 most intense peaks (2θ from 10° to 90°), in order of falling intensity:
- 2θ = 26.61°, 3.350 Å, I 100
- 2θ = 12.03°, 7.360 Å, I 51
- 2θ = 41.58°, 2.172 Å, I 51
- 2θ = 44.07°, 2.055 Å, I 26
- 2θ = 34.08°, 2.631 Å, I 25
- 2θ = 66.61°, 1.404 Å, I 23
- 2θ = 50.05°, 1.823 Å, I 17
- 2θ = 67.03°, 1.396 Å, I 14
- 2θ = 30.28°, 2.952 Å, I 14
- 2θ = 29.59°, 3.019 Å, I 14

# 3
Diffraction record for CdI2. The powder diffractogram is theoretical, not measured: it uses DFT lattice parameters and positions (PBE) and CuKα.

Cell lengths 4.3417, 4.3417, 103.1913 Å; angles 90.00, 90.00, 120.00 degrees
Positions (direct):
Cd 0.0000 0.0000 0.0000
Cd 0.0000 0.0000 0.0714
Cd 0.0000 0.0000 0.2143
Cd 0.0000 0.0000 0.3572
Cd 0.0000 0.0000 0.4286
Cd 0.0000 0.0000 0.5714
Cd 0.0000 0.0000 0.7143
Cd 0.0000 0.0000 0.8572
Cd 0.3333 0.6667 0.1429
Cd 0.3333 0.6667 0.2857
Cd 0.3333 0.6667 0.5000
Cd 0.3333 0.6667 0.6429
Cd 0.3333 0.6667 0.7857
Cd 0.3333 0.6667 0.9286
I 0.0000 0.0000 0.1261
I 0.0000 0.0000 0.2690
I 0.0000 0.0000 0.4833
I 0.0000 0.0000 0.6261
I 0.0000 0.0000 0.7690
I 0.0000 0.0000 0.9118
I 0.3333 0.6667 0.0547
I 0.3333 0.6667 0.1975
I 0.3333 0.6667 0.3404
I 0.3333 0.6667 0.4118
I 0.3333 0.6667 0.5547
I 0.3333 0.6667 0.6975
I 0.3333 0.6667 0.8404
I 0.3333 0.6667 0.9833
I 0.6667 0.3333 0.0168
I 0.6667 0.3333 0.0882
I 0.6667 0.3333 0.1596
I 0.6667 0.3333 0.2310
I 0.6667 0.3333 0.3024
I 0.6667 0.3333 0.3739
I 0.6667 0.3333 0.4453
I 0.6667 0.3333 0.5168
I 0.6667 0.3333 0.5882
I 0.6667 0.3333 0.6596
I 0.6667 0.3333 0.7310
I 0.6667 0.3333 0.8024
I 0.6667 0.3333 0.8739
I 0.6667 0.3333 0.9453

The 10 most intense peaks (2θ from 10° to 90°), in order of falling intensity:
- 2θ = 26.61°, 3.349 Å, I 100
- 2θ = 12.01°, 7.371 Å, I 54
- 2θ = 41.60°, 2.171 Å, I 52
- 2θ = 44.03°, 2.057 Å, I 26
- 2θ = 66.56°, 1.405 Å, I 23
- 2θ = 30.47°, 2.934 Å, I 22
- 2θ = 34.06°, 2.632 Å, I 22
- 2θ = 29.39°, 3.039 Å, I 22
- 2θ = 50.07°, 1.822 Å, I 17
- 2θ = 67.07°, 1.395 Å, I 14

# 4
Diffraction record for CdI2. The powder diffractogram is theoretical, not measured: it uses DFT lattice parameters and positions (PBE) and CuKα.

Cell lengths 4.3445, 4.3445, 110.5815 Å; angles 90.00, 90.00, 120.00 degrees
Positions (direct):
Cd 0.0000 0.0000 0.0000
Cd 0.0000 0.0000 0.0667
Cd 0.0000 0.0000 0.1333
Cd 0.0000 0.0000 0.2000
Cd 0.0000 0.0000 0.2667
Cd 0.0000 0.0000 0.3333
Cd 0.0000 0.0000 0.4000
Cd 0.0000 0.0000 0.5333
Cd 0.0000 0.0000 0.6000
Cd 0.0000 0.0000 0.6667
Cd 0.0000 0.0000 0.7333
Cd 0.0000 0.0000 0.8000
Cd 0.0000 0.0000 0.8667
Cd 0.3333 0.6667 0.4667
Cd 0.3333 0.6667 0.9333
I 0.0000 0.0000 0.4510
I 0.0000 0.0000 0.9177
I 0.3333 0.6667 0.0510
I 0.3333 0.6667 0.1177
I 0.3333 0.6667 0.1844
I 0.3333 0.6667 0.2510
I 0.3333 0.6667 0.3177
I 0.3333 0.6667 0.3844
I 0.3333 0.6667 0.5177
I 0.3333 0.6667 0.5844
I 0.3333 0.6667 0.6510
I 0.3333 0.6667 0.7177
I 0.3333 0.6667 0.7843
I 0.3333 0.6667 0.8510
I 0.3333 0.6667 0.9844
I 0.6667 0.3333 0.0156
I 0.6667 0.3333 0.0823
I 0.6667 0.3333 0.1490
I 0.6667 0.3333 0.2156
I 0.6667 0.3333 0.2823
I 0.6667 0.3333 0.3490
I 0.6667 0.3333 0.4156
I 0.6667 0.3333 0.4823
I 0.6667 0.3333 0.5490
I 0.6667 0.3333 0.6156
I 0.6667 0.3333 0.6823
I 0.6667 0.3333 0.7490
I 0.6667 0.3333 0.8156
I 0.6667 0.3333 0.8823
I 0.6667 0.3333 0.9490

The 10 most intense peaks (2θ from 10° to 90°), in order of falling intensity:
- 2θ = 26.60°, 3.351 Å, I 100
- 2θ = 12.01°, 7.372 Å, I 42
- 2θ = 34.05°, 2.633 Å, I 42
- 2θ = 41.57°, 2.172 Å, I 41
- 2θ = 44.01°, 2.057 Å, I 28
- 2θ = 66.54°, 1.405 Å, I 18
- 2θ = 50.04°, 1.823 Å, I 17
- 2θ = 67.02°, 1.396 Å, I 14
- 2θ = 43.43°, 2.084 Å, I 10
- 2θ = 77.56°, 1.231 Å, I 10

# 5
Diffraction record for CdI2. The powder diffractogram is theoretical, not measured: it uses DFT lattice parameters and positions (PBE) and CuKα.

Cell lengths 4.3337, 4.3337, 90.4298 Å; angles 90.00, 90.00, 120.00 degrees
Positions (direct):
Cd 0.0000 0.0000 0.0000
Cd 0.0000 0.0000 0.0833
Cd 0.0000 0.0000 0.1667
Cd 0.0000 0.0000 0.2500
Cd 0.0000 0.0000 0.4166
Cd 0.0000 0.0000 0.6667
Cd 0.0000 0.0000 0.8333
Cd 0.3333 0.6667 0.3333
Cd 0.3333 0.6667 0.5000
Cd 0.3333 0.6667 0.5833
Cd 0.3333 0.6667 0.7499
Cd 0.3333 0.6667 0.9166
I 0.0000 0.0000 0.3142
I 0.0000 0.0000 0.4809
I 0.0000 0.0000 0.5642
I 0.0000 0.0000 0.7309
I 0.0000 0.0000 0.8975
I 0.3333 0.6667 0.0642
I 0.3333 0.6667 0.1476
I 0.3333 0.6667 0.2309
I 0.3333 0.6667 0.3976
I 0.3333 0.6667 0.6476
I 0.3333 0.6667 0.8143
I 0.3333 0.6667 0.9809
I 0.6667 0.3333 0.0191
I 0.6667 0.3333 0.1024
I 0.6667 0.3333 0.1857
I 0.6667 0.3333 0.2690
I 0.6667 0.3333 0.3524
I 0.6667 0.3333 0.4357
I 0.6667 0.3333 0.5190
I 0.6667 0.3333 0.6023
I 0.6667 0.3333 0.6857
I 0.6667 0.3333 0.7690
I 0.6667 0.3333 0.8524
I 0.6667 0.3333 0.9357

The 10 most intense peaks (2θ from 10° to 90°), in order of falling intensity:
- 2θ = 26.53°, 3.360 Å, I 100
- 2θ = 11.74°, 7.536 Å, I 64
- 2θ = 41.68°, 2.167 Å, I 53
- 2θ = 43.34°, 2.088 Å, I 26
- 2θ = 33.71°, 2.659 Å, I 25
- 2θ = 65.67°, 1.422 Å, I 21
- 2θ = 30.33°, 2.947 Å, I 19
- 2θ = 29.12°, 3.067 Å, I 19
- 2θ = 50.09°, 1.821 Å, I 17
- 2θ = 43.46°, 2.082 Å, I 15

# 6
Diffraction record for CdI2. The powder diffractogram is theoretical, not measured: it uses DFT lattice parameters and positions (PBE) and CuKα.

Cell lengths 4.3350, 4.3350, 129.4316 Å; angles 90.00, 90.00, 120.00 degrees
Positions (direct):
Cd 0.0000 0.0000 0.0000
Cd 0.0000 0.0000 0.0588
Cd 0.0000 0.0000 0.1765
Cd 0.0000 0.0000 0.2942
Cd 0.0000 0.0000 0.5883
Cd 0.0000 0.0000 0.7058
Cd 0.0000 0.0000 0.7647
Cd 0.0000 0.0000 0.8824
Cd 0.3333 0.6667 0.4706
Cd 0.6667 0.3333 0.1176
Cd 0.6667 0.3333 0.2353
Cd 0.6667 0.3333 0.3529
Cd 0.6667 0.3333 0.4117
Cd 0.6667 0.3333 0.5294
Cd 0.6667 0.3333 0.6470
Cd 0.6667 0.3333 0.8235
Cd 0.6667 0.3333 0.9412
I 0.0000 0.0000 0.1309
I 0.0000 0.0000 0.2486
I 0.0000 0.0000 0.3662
I 0.0000 0.0000 0.4250
I 0.0000 0.0000 0.4839
I 0.0000 0.0000 0.5427
I 0.0000 0.0000 0.6603
I 0.0000 0.0000 0.8368
I 0.0000 0.0000 0.9545
I 0.3333 0.6667 0.0455
I 0.3333 0.6667 0.1043
I 0.3333 0.6667 0.1632
I 0.3333 0.6667 0.2220
I 0.3333 0.6667 0.2809
I 0.3333 0.6667 0.3396
I 0.3333 0.6667 0.3984
I 0.3333 0.6667 0.5161
I 0.3333 0.6667 0.5750
I 0.3333 0.6667 0.6337
I 0.3333 0.6667 0.6926
I 0.3333 0.6667 0.7514
I 0.3333 0.6667 0.8103
I 0.3333 0.6667 0.8691
I 0.3333 0.6667 0.9279
I 0.3333 0.6667 0.9867
I 0.6667 0.3333 0.0133
I 0.6667 0.3333 0.0721
I 0.6667 0.3333 0.1898
I 0.6667 0.3333 0.3075
I 0.6667 0.3333 0.4573
I 0.6667 0.3333 0.6016
I 0.6667 0.3333 0.7191
I 0.6667 0.3333 0.7780
I 0.6667 0.3333 0.8957

The 10 most intense peaks (2θ from 10° to 90°), in order of falling intensity:
- 2θ = 26.47°, 3.367 Å, I 100
- 2θ = 11.62°, 7.614 Å, I 80
- 2θ = 41.67°, 2.168 Å, I 60
- 2θ = 30.24°, 2.956 Å, I 30
- 2θ = 43.02°, 2.103 Å, I 25
- 2θ = 65.23°, 1.430 Å, I 24
- 2θ = 28.98°, 3.081 Å, I 22
- 2θ = 33.53°, 2.673 Å, I 20
- 2θ = 37.21°, 2.416 Å, I 20
- 2θ = 43.41°, 2.085 Å, I 19

# 7
Diffraction record for CdI2. The powder diffractogram is theoretical, not measured: it uses DFT lattice parameters and positions (PBE) and CuKα.

Cell lengths 4.3360, 4.3360, 68.6187 Å; angles 90.00, 90.00, 120.00 degrees
Positions (direct):
Cd 0.0000 0.0000 0.0000
Cd 0.0000 0.0000 0.1131
Cd 0.0000 0.0000 0.3339
Cd 0.0000 0.0000 0.5581
Cd 0.0000 0.0000 0.7788
Cd 0.3333 0.6667 0.2235
Cd 0.3333 0.6667 0.4474
Cd 0.6667 0.3333 0.6684
Cd 0.6667 0.3333 0.8893
I 0.0000 0.0000 0.2484
I 0.0000 0.0000 0.4725
I 0.0000 0.0000 0.6432
I 0.0000 0.0000 0.8641
I 0.3333 0.6667 0.0251
I 0.3333 0.6667 0.1381
I 0.3333 0.6667 0.3588
I 0.3333 0.6667 0.5832
I 0.3333 0.6667 0.6935
I 0.3333 0.6667 0.8039
I 0.3333 0.6667 0.9144
I 0.6667 0.3333 0.0881
I 0.6667 0.3333 0.1985
I 0.6667 0.3333 0.3089
I 0.6667 0.3333 0.4222
I 0.6667 0.3333 0.5329
I 0.6667 0.3333 0.7536
I 0.6667 0.3333 0.9748

The 10 most intense peaks (2θ from 10° to 90°), in order of falling intensity:
- 2θ = 26.46°, 3.369 Å, I 100
- 2θ = 11.61°, 7.624 Å, I 90
- 2θ = 41.66°, 2.168 Å, I 67
- 2θ = 29.19°, 3.060 Å, I 43
- 2θ = 65.17°, 1.431 Å, I 26
- 2θ = 38.54°, 2.336 Å, I 24
- 2θ = 42.97°, 2.105 Å, I 23
- 2θ = 43.39°, 2.085 Å, I 21
- 2θ = 29.98°, 2.981 Å, I 21
- 2θ = 25.90°, 3.440 Å, I 17

# 8
Diffraction record for CdI2. The powder diffractogram is theoretical, not measured: it uses DFT lattice parameters and positions (PBE) and CuKα.

Cell lengths 4.3441, 4.3441, 73.6412 Å; angles 90.00, 90.00, 120.00 degrees
Positions (direct):
Cd 0.0000 0.0000 0.0000
Cd 0.0000 0.0000 0.1000
Cd 0.0000 0.0000 0.3000
Cd 0.0000 0.0000 0.4000
Cd 0.0000 0.0000 0.6000
Cd 0.0000 0.0000 0.8000
Cd 0.6667 0.3333 0.2000
Cd 0.6667 0.3333 0.5000
Cd 0.6667 0.3333 0.7000
Cd 0.6667 0.3333 0.9000
I 0.0000 0.0000 0.1765
I 0.0000 0.0000 0.4765
I 0.0000 0.0000 0.6765
I 0.0000 0.0000 0.8765
I 0.3333 0.6667 0.0235
I 0.3333 0.6667 0.1235
I 0.3333 0.6667 0.2235
I 0.3333 0.6667 0.3235
I 0.3333 0.6667 0.4235
I 0.3333 0.6667 0.5235
I 0.3333 0.6667 0.6235
I 0.3333 0.6667 0.7235
I 0.3333 0.6667 0.8235
I 0.3333 0.6667 0.9235
I 0.6667 0.3333 0.0765
I 0.6667 0.3333 0.2765
I 0.6667 0.3333 0.3765
I 0.6667 0.3333 0.5765
I 0.6667 0.3333 0.7765
I 0.6667 0.3333 0.9765

The 10 most intense peaks (2θ from 10° to 90°), in order of falling intensity:
- 2θ = 26.61°, 3.350 Å, I 100
- 2θ = 12.02°, 7.364 Å, I 52
- 2θ = 41.58°, 2.172 Å, I 52
- 2θ = 44.05°, 2.056 Å, I 26
- 2θ = 34.07°, 2.631 Å, I 23
- 2θ = 66.59°, 1.404 Å, I 23
- 2θ = 30.69°, 2.913 Å, I 18
- 2θ = 29.18°, 3.060 Å, I 18
- 2θ = 50.05°, 1.823 Å, I 17
- 2θ = 67.03°, 1.396 Å, I 14